Structure and theoretical PXRD pattern of LaNdI (a PBE-relaxed structure; Cu Ka).
Intensities are scaled so that the largest is 100.

Most intense lines, 5° ≤ 2θ ≤ 70°, by angle:
| (hkl) | Position (°2θ) | Rel. int. |
| --- | --- | --- |
| 1 0 1 | 28.26 | 100 |
| 0 0 3 | 33.60 | 20 |
| 0 1 2 | 34.40 | 58 |
| 1 0 3 | 42.92 | 2 |
| 1 1 0 | 45.72 | 27 |
| 1 0 4 | 52.96 | 17 |
| 0 2 1 | 54.62 | 16 |
| 1 1 3 | 57.92 | 25 |
| 2 0 2 | 58.45 | 13 |
| 0 1 5 | 64.20 | 9 |

Atomic structure:
```
LaNdI
1.0
3.9689 0.0000 0.0000
-1.9845 3.4372 0.0000
0.0000 0.0000 8.0014
La Nd I
1 1 1
Cartesian
0.0000 0.0000 0.0000
0.0000 2.2915 5.1204
1.9845 1.1457 2.6209
```